Record 1
For Nd2ZnHRh6, a cell relaxed with GGA-PBE gives the simulated powder X-ray diffraction pattern in this record (a wavelength of 1.5418 Å).
Neutral-atom scattering factors, no anomalous dispersion.

Principal peaks in the range 2θ = 10–90°, in order of rising 2θ:
2θ 28.96, I = 11.9, hkl 1 1 2; 2θ 34.10, I = 5.3, hkl 1 0 3; 2θ 35.66, I = 100.0, hkl 2 0 2; 2θ 41.42, I = 67.0, hkl 2 2 0; 2θ 45.33, I = 13.2, hkl 2 1 3; 2θ 54.69, I = 9.5, hkl 3 0 3; 2θ 60.01, I = 39.8, hkl 4 0 0; 2θ 71.80, I = 30.3, hkl 4 2 2; 2θ 75.54, I = 11.9, hkl 4 0 4; 2θ 85.51, I = 6.0, hkl 4 3 3

Structural model:
abc: 6.1691 6.1691 8.7132
angles: 90.00 90.00 90.00
Space group I4/mmm (No. 139)
Unique sites:
Nd1 0.0000 0.5000 0.2500 [4 per cell]
Zn1 0.0000 0.0000 0.0000 [2 per cell]
H1 0.0000 0.0000 0.5000 [2 per cell]
Rh1 0.0000 0.0000 0.2771 [4 per cell]
Rh2 0.2231 0.2231 0.5000 [8 per cell]


Record 2
For Li7TbBi4, a cell relaxed with GGA-PBE gives the simulated powder X-ray diffraction pattern in this record (a wavelength of 1.5418 Å).
Neutral-atom scattering factors, no anomalous dispersion.

Principal peaks in the range 2θ = 10–90°, in order of rising 2θ:
2θ 19.32, I = 21.0, hkl 1 1 -1; 2θ 20.89, I = 29.1, hkl 0 0 2; 2θ 24.15, I = 100.0, hkl 1 1 1; 2θ 27.91, I = 56.8, hkl 3 1 -2; 2θ 29.71, I = 40.5, hkl 4 0 -1; 2θ 32.00, I = 21.1, hkl 3 1 -3; 2θ 34.66, I = 29.3, hkl 0 2 0; 2θ 38.73, I = 18.3, hkl 3 1 -4; 2θ 46.29, I = 24.7, hkl 4 2 -1; 2θ 47.28, I = 20.4, hkl 5 1 0

Structural model:
abc: 12.6844 5.1757 10.4208
angles: 90.00 125.29 90.00
Space group C2/m (No. 12)
Unique sites:
Li1 0.0000 0.0000 0.0000 [2 per cell]
Li2 0.0923 0.5000 0.4401 [4 per cell]
Li3 0.1837 0.0000 0.9021 [4 per cell]
Li4 0.2044 0.0000 0.6342 [4 per cell]
Tb1 0.0000 0.5000 0.0000 [2 per cell]
Bi1 0.0873 0.0000 0.2983 [4 per cell]
Bi2 0.1991 0.5000 0.7806 [4 per cell]


Record 3
For Cs2Hg6Bi, a cell relaxed with GGA-PBE gives the simulated powder X-ray diffraction pattern in this record (a wavelength of 1.5418 Å).
Neutral-atom scattering factors, no anomalous dispersion.

Principal peaks in the range 2θ = 10–90°, in order of rising 2θ:
2θ 16.09, I = 33.4, hkl 2 0 0; 2θ 26.85, I = 21.4, hkl 3 1 1; 2θ 28.06, I = 100.0, hkl 2 2 2; 2θ 32.52, I = 92.3, hkl 4 0 0; 2θ 35.53, I = 56.6, hkl 3 3 1; 2θ 42.65, I = 39.4, hkl 3 3 3; 2θ 46.65, I = 52.6, hkl 4 4 0; 2θ 55.33, I = 23.1, hkl 6 2 2; 2θ 65.04, I = 30.2, hkl 7 3 1; 2θ 69.91, I = 25.3, hkl 7 3 3

Structural model:
abc: 11.0144 11.0144 11.0144
angles: 90.00 90.00 90.00
Space group Fm-3m (No. 225)
Unique sites:
Cs1 0.2500 0.2500 0.2500 [8 per cell]
Hg1 0.0000 0.0000 0.2103 [24 per cell]
Bi1 0.0000 0.0000 0.5000 [4 per cell]


Record 4
For AcPm2Er4, a cell relaxed with GGA-PBE gives the simulated powder X-ray diffraction pattern in this record (a wavelength of 1.5418 Å).
Neutral-atom scattering factors, no anomalous dispersion.

Principal peaks in the range 2θ = 10–90°, in order of rising 2θ:
2θ 27.94, I = 13.7, hkl 0 1 -2; 2θ 28.10, I = 32.1, hkl -1 1 2; 2θ 30.89, I = 47.6, hkl 2 2 2; 2θ 32.00, I = 100.0, hkl 1 2 -1; 2θ 32.09, I = 31.2, hkl 2 0 -1; 2θ 32.26, I = 62.4, hkl 0 3 1; 2θ 55.58, I = 13.5, hkl 3 2 5; 2θ 59.51, I = 14.8, hkl 4 -1 0; 2θ 59.66, I = 14.4, hkl 1 5 0; 2θ 60.09, I = 16.9, hkl 0 5 4

Structural model:
abc: 6.8790 8.5645 9.3436
angles: 65.88 71.60 77.00
Space group P1 (No. 1)
Unique sites:
Ac1 0.0000 0.0000 0.0000 [1 per cell]
Ac2 0.4706 0.8959 0.1394 [1 per cell]
Pm1 0.1330 0.5570 0.2989 [1 per cell]
Pm2 0.2824 0.1373 0.5748 [1 per cell]
Pm3 0.3377 0.3385 0.8403 [1 per cell]
Pm4 0.6171 0.4699 0.4193 [1 per cell]
Er1 0.0357 0.1850 0.2756 [1 per cell]
Er2 0.1826 0.7562 0.5660 [1 per cell]
Er3 0.4344 0.7070 0.8620 [1 per cell]
Er4 0.5652 0.2896 0.1545 [1 per cell]
Er5 0.7175 0.8500 0.4467 [1 per cell]
Er6 0.7538 0.0418 0.6950 [1 per cell]
Er7 0.8552 0.4289 0.7227 [1 per cell]
Er8 0.9064 0.6080 0.9806 [1 per cell]


Record 5
For CeTl6Cl8, a cell relaxed with GGA-PBE gives the simulated powder X-ray diffraction pattern in this record (a wavelength of 1.5418 Å).
Neutral-atom scattering factors, no anomalous dispersion.

Principal peaks in the range 2θ = 10–90°, in order of rising 2θ:
2θ 21.78, I = 79.1, hkl 2 0 0; 2θ 23.17, I = 99.5, hkl 2 -1 1; 2θ 26.92, I = 37.6, hkl 0 0 2; 2θ 32.01, I = 100.0, hkl 2 1 1; 2θ 32.92, I = 26.4, hkl 3 0 0; 2θ 33.06, I = 56.7, hkl 2 -1 2; 2θ 42.19, I = 80.1, hkl 4 -1 1; 2θ 50.86, I = 26.5, hkl 3 -1 3; 2θ 56.39, I = 26.8, hkl 5 0 0; 2θ 58.39, I = 31.6, hkl 3 1 3

Structural model:
abc: 9.4239 9.4239 6.6232
angles: 90.00 90.00 120.00
Space group P-31m (No. 162)
Unique sites:
Ce1 0.0000 0.0000 0.0000 [1 per cell]
Tl1 0.0000 0.4110 0.2397 [6 per cell]
Cl1 0.0000 0.2418 0.7620 [6 per cell]
Cl2 0.3333 0.6667 0.0000 [2 per cell]


Record 6
For Ho3In4Sn2, a cell relaxed with GGA-PBE gives the simulated powder X-ray diffraction pattern in this record (a wavelength of 1.5418 Å).
Neutral-atom scattering factors, no anomalous dispersion.

Principal peaks in the range 2θ = 10–90°, in order of rising 2θ:
2θ 30.61, I = 100.0, hkl 1 1 1; 2θ 33.34, I = 62.0, hkl 2 0 1; 2θ 34.58, I = 30.4, hkl 2 1 0; 2θ 39.38, I = 43.5, hkl 3 0 0; 2θ 40.56, I = 21.8, hkl 2 1 1; 2θ 41.82, I = 23.9, hkl 0 0 2; 2θ 55.35, I = 15.6, hkl 2 1 2; 2θ 58.79, I = 26.9, hkl 3 0 2; 2θ 62.81, I = 26.6, hkl 3 2 1; 2θ 72.21, I = 9.7, hkl 5 0 1

Structural model:
abc: 7.9253 7.9253 4.3200
angles: 90.00 90.00 120.00
Space group P-62m (No. 189)
Unique sites:
Ho1 0.0000 0.6097 0.0000 [3 per cell]
In1 0.0000 0.0000 0.0000 [1 per cell]
In2 0.0000 0.2643 0.5000 [3 per cell]
Sn1 0.3333 0.6667 0.5000 [2 per cell]